CoAuNO2: computed PXRD pattern (Cu Kα (λ = 1.5418 Å)), based on a structure optimized by DFT (PBE+U).
Peak positions follow from Bragg's law for the DFT cell and can differ from measured ones.

Crystal structure
```
data_CoAuNO2
_symmetry_space_group_name_H-M 'P 1'
_symmetry_Int_Tables_number 1
_symmetry_space_group_name_Hall 'P 1'
_cell_length_a 3.9712
_cell_length_b 3.9712
_cell_length_c 3.4389
_cell_angle_alpha 90.00
_cell_angle_beta 90.00
_cell_angle_gamma 90.00
loop_
_atom_site_label
_atom_site_type_symbol
_atom_site_fract_x
_atom_site_fract_y
_atom_site_fract_z
Co1 Co 0.0000 0.0000 0.0000
Au1 Au 0.5000 0.5000 0.5000
N1 N 0.0000 0.0000 0.5000
O1 O 0.0000 0.5000 0.0000
O2 O 0.5000 0.0000 0.0000
```

Principal peaks in the range 2θ = 5–70°, in order of rising 2θ:
2θ 22.39, intensity 33, (1 0 0); 2θ 31.87, intensity 58, (1 1 0); 2θ 34.50, intensity 100, (1 0 1); 2θ 41.52, intensity 33, (1 1 1); 2θ 45.69, intensity 34, (2 0 0); 2θ 53.27, intensity 18, (0 0 2); 2θ 58.49, intensity 51, (2 1 1); 2θ 63.43, intensity 17, (1 1 2)